Mn9Fe4O24: theoretical powder X-ray diffraction pattern (copper Kα), based on a structure optimized by DFT (PBE+U).

Peak list (10 most intense, 2θ from 15° to 90°, sorted by position)
| 2theta | I/Imax |
| --- | --- |
| 18.38 | 100.0 |
| 18.49 | 31.1 |
| 35.58 | 36.7 |
| 35.74 | 30.1 |
| 37.26 | 11.8 |
| 43.26 | 48.2 |
| 43.55 | 23.6 |
| 57.20 | 15.7 |
| 62.92 | 23.4 |
| 63.23 | 15.4 |

Cell: 13.1322 13.1322 5.9058 Å, 102.62 102.62 26.08°
Atoms (fractional coordinates):
Mn 0.0000 0.0000 0.0000
Mn 0.0002 0.0002 0.4987
Mn 0.1691 0.6682 0.6693
Mn 0.3323 0.3323 0.8285
Mn 0.3318 0.8326 0.3293
Mn 0.6633 0.6633 0.6604
Mn 0.6638 0.6638 0.1587
Mn 0.6682 0.1691 0.6693
Mn 0.8326 0.3318 0.3293
Fe 0.0114 0.4857 0.9926
Fe 0.3359 0.3359 0.3073
Fe 0.4857 0.0114 0.9926
Fe 0.7909 0.7909 0.5375
O 0.0777 0.0777 0.1088
O 0.0776 0.0776 0.5413
O 0.0992 0.5768 0.5834
O 0.1080 0.5533 0.0514
O 0.2128 0.7784 0.7457
O 0.2201 0.7888 0.2538
O 0.2558 0.2558 0.2277
O 0.2566 0.2566 0.7621
O 0.4111 0.4111 0.8727
O 0.4150 0.4150 0.4564
O 0.4428 0.8757 0.4050
O 0.4593 0.8777 0.9143
O 0.5533 0.1080 0.0514
O 0.5768 0.0992 0.5834
O 0.5863 0.5863 0.5505
O 0.5868 0.5868 0.1163
O 0.7436 0.7436 0.7449
O 0.7453 0.7453 0.2310
O 0.7784 0.2128 0.7457
O 0.7888 0.2201 0.2538
O 0.8757 0.4428 0.4050
O 0.8777 0.4593 0.9143
O 0.9228 0.9228 0.4573
O 0.9227 0.9227 0.8899